Theoretical powder diffraction line list of Zn7P10 for Cu Ka, from the PBE geometry in Alexandria.
Peak positions follow from Bragg's law for the DFT cell and can differ from measured ones.

Cell and atoms:
a b c (Å): 21.568 26.167 4.440
angles (deg): 90.00 90.00 90.00
Space group Fdd2 (No. 43)
Inequivalent atoms, fractional coordinates:
1 Zn 0.000 0.000 0.000 (multiplicity 8)
2 Zn 0.000 0.202 0.530 (multiplicity 16)
3 Zn 0.112 0.210 0.840 (multiplicity 16)
4 Zn 0.120 0.078 0.229 (multiplicity 16)
5 P 0.036 0.362 0.681 (multiplicity 16)
6 P 0.041 0.439 0.862 (multiplicity 16)
7 P 0.044 0.060 0.639 (multiplicity 16)
8 P 0.049 0.130 0.903 (multiplicity 16)
9 P 0.080 0.252 0.287 (multiplicity 16)

Principal peaks in the range 2θ from 10° to 90°, low angle first:
Position (°2θ)	intensity	h k l
25.7	20	3 3 1
26.7	26	1 5 1
28.5	25	2 8 0
29.1	24	3 5 1
30.7	100	5 3 1
31.6	41	1 7 1
33.7	36	5 5 1
37.7	24	5 7 1
52.1	22	11 3 1
52.8	31	6 6 2